Record 1
Diffraction record for RbCaSbI6. The powder X-ray diffraction pattern is calculated, not measured: it uses a GGA-PBE-relaxed structure and Cu Kα X-rays.

The 12 most intense peaks (2θ from 5° to 70°), most intense first:
d 3.599, 24.7°, rel. 100
d 2.862, 31.2°, rel. 59
d 2.315, 38.9°, rel. 32
d 5.293, 16.8°, rel. 28
d 2.254, 40.0°, rel. 26
d 2.499, 35.9°, rel. 18
d 8.176, 10.8°, rel. 15
d 1.874, 48.6°, rel. 13
d 1.947, 46.7°, rel. 13
d 4.088, 21.7°, rel. 13
d 1.800, 50.7°, rel. 11
d 1.532, 60.4°, rel. 11

Structure:
Unit cell a=8.0177 b=8.0177 c=8.1764 alpha=90.00 beta=90.00 gamma=120.00
Space group P312 (No. 149)
Unique sites:
Rb 0.0000 0.0000 0.0000
Ca 0.3333 0.6667 0.5000
Sb 0.6667 0.3333 0.5000
I 0.3753 0.0085 0.7192

***

Record 2
Diffraction record for K3NaH6Pt2. The powder X-ray diffraction pattern is calculated, not measured: it uses a GGA-PBE-relaxed structure and Cu Kα X-rays.

The 12 most intense peaks (2θ from 5° to 70°), most intense first:
d 4.112, 21.6°, rel. 100
d 3.001, 29.8°, rel. 98
d 2.822, 31.7°, rel. 62
d 2.239, 40.3°, rel. 40
d 2.056, 44.0°, rel. 40
d 5.198, 17.1°, rel. 36
d 1.696, 54.1°, rel. 34
d 1.886, 48.3°, rel. 26
d 2.424, 37.1°, rel. 24
d 3.361, 26.5°, rel. 21
d 1.733, 52.8°, rel. 19
d 1.410, 66.3°, rel. 18

Structure:
Unit cell a=6.0021 b=6.0021 c=6.7216 alpha=90.00 beta=90.00 gamma=120.00
Space group P-3m1 (No. 164)
Unique sites:
K 0.0000 0.0000 0.0000
K 0.3333 0.6667 0.7101
Na 0.0000 0.0000 0.5000
H 0.1775 0.3551 0.2744
Pt 0.3333 0.6667 0.2155

***

Record 3
Diffraction record for BaZnSnAu3. The powder X-ray diffraction pattern is calculated, not measured: it uses a GGA-PBE-relaxed structure and Cu Kα X-rays.

The 12 most intense peaks (2θ from 5° to 70°), most intense first:
d 2.450, 36.7°, rel. 100
d 3.261, 27.3°, rel. 76
d 2.869, 31.2°, rel. 53
d 6.390, 13.9°, rel. 37
d 1.607, 57.3°, rel. 33
d 2.265, 39.8°, rel. 31
d 2.944, 30.4°, rel. 29
d 2.170, 41.6°, rel. 25
d 1.896, 48.0°, rel. 24
d 2.443, 36.8°, rel. 22
d 1.582, 58.3°, rel. 18
d 3.195, 27.9°, rel. 16

Structure:
Unit cell a=6.422 b=12.780 c=7.584 alpha=90.00 beta=90.00 gamma=90.00
Space group Cmcm (No. 63)
Unique sites:
Ba 0.000 0.212 0.250
Zn 0.000 0.476 0.250
Sn 0.000 0.111 0.750
Au 0.000 0.323 0.750
Au 0.236 0.000 0.000